Record 1
Starting from a cell relaxed with PBE, the X-ray diffraction stick pattern of Al27V was calculated for Cu Kα, 1.54184 Å.
Neutral-atom scattering factors, no anomalous dispersion.

Principal peaks in the range 10 to 80 degrees two-theta, sorted by position:
- 2θ 19.31, d 4.596, intensity 100, hkl 3 3 1
- 2θ 28.17, d 3.168, intensity 89, hkl 6 2 0
- 2θ 29.23, d 3.055, intensity 97, hkl 5 3 3
- 2θ 30.92, d 2.892, intensity 54, hkl 4 4 4
- 2θ 38.93, d 2.314, intensity 79, hkl 5 5 5
- 2θ 39.20, d 2.298, intensity 53, hkl 6 6 2
- 2θ 49.86, d 1.829, intensity 55, hkl 10 4 2
- 2θ 51.61, d 1.771, intensity 56, hkl 8 8 0

Structural model:
abc: 20.036 20.036 20.036
angles: 90.00 90.00 90.00
Space group Fd-3m (No. 227, origin choice 2)
Asymmetric unit:
Al (0.000, 0.000, 0.000) x16
Al (0.014, 0.014, 0.397) x96
Al (0.060, 0.329, 0.921) x96
Al (0.125, 0.125, 0.125) x8
V (0.125, 0.125, 0.625) x8

Record 2
Starting from a cell relaxed with PBE, the X-ray diffraction stick pattern of CaCeFe8Sb24 was calculated for Cu Kα, 1.54184 Å.
Neutral-atom scattering factors, no anomalous dispersion.

Principal peaks in the range 10 to 80 degrees two-theta, sorted by position:
- 2θ 30.77, d 2.906, intensity 100, hkl 1 3 1
- 2θ 30.85, d 2.899, intensity 20, hkl 4 0 2
- 2θ 36.55, d 2.459, intensity 28, hkl 1 1 5
- 2θ 36.67, d 2.451, intensity 28, hkl 4 2 -2
- 2θ 44.10, d 2.054, intensity 12, hkl 4 2 4
- 2θ 48.47, d 1.878, intensity 12, hkl 2 2 6
- 2θ 48.65, d 1.872, intensity 12, hkl 6 2 2
- 2θ 58.61, d 1.575, intensity 11, hkl 3 5 -3

Structural model:
abc: 12.952 9.182 13.031
angles: 90.00 90.06 90.00
Space group C2/m (No. 12)
Asymmetric unit:
Ca (0.000, 0.000, 0.000) x2
Ce (0.000, 0.500, 0.500) x2
Fe (0.000, 0.251, 0.251) x8
Fe (0.250, 0.250, 0.000) x4
Fe (0.250, 0.250, 0.500) x4
Sb (0.081, 0.334, 0.919) x8
Sb (0.082, 0.166, 0.418) x8
Sb (0.086, 0.000, 0.752) x4
Sb (0.086, 0.500, 0.251) x4
Sb (0.167, 0.162, 0.167) x8
Sb (0.168, 0.337, 0.667) x8
Sb (0.248, 0.000, 0.914) x4
Sb (0.249, 0.500, 0.414) x4

Record 3
Starting from a cell relaxed with PBE, the X-ray diffraction stick pattern of ZrMnSi2 was calculated for Cu Kα, 1.54184 Å.
Neutral-atom scattering factors, no anomalous dispersion.

Principal peaks in the range 10 to 80 degrees two-theta, sorted by position:
- 2θ 22.53, d 3.946, intensity 18, hkl 0 2 0
- 2θ 28.94, d 3.085, intensity 23, hkl 1 2 1
- 2θ 38.68, d 2.328, intensity 100, hkl 0 2 6
- 2θ 40.39, d 2.233, intensity 36, hkl 1 0 7
- 2θ 40.68, d 2.218, intensity 37, hkl 2 0 4
- 2θ 43.15, d 2.096, intensity 60, hkl 2 2 2
- 2θ 46.00, d 1.973, intensity 25, hkl 0 4 0
- 2θ 69.52, d 1.352, intensity 20, hkl 2 2 10

Structural model:
abc: 5.163 7.893 17.336
angles: 90.00 90.00 90.00
Space group Immm (No. 71)
Asymmetric unit:
Zr (0.000, 0.000, 0.141) x4
Zr (0.000, 0.259, 0.405) x8
Mn (0.000, 0.252, 0.000) x4
Mn (0.250, 0.250, 0.250) x8
Si (0.000, 0.000, 0.298) x4
Si (0.000, 0.350, 0.137) x8
Si (0.000, 0.500, 0.288) x4
Si (0.245, 0.000, 0.500) x4
Si (0.245, 0.500, 0.500) x4

Record 4
Starting from a cell relaxed with PBE, the X-ray diffraction stick pattern of LiCuAuO2 was calculated for Cu Kα, 1.54184 Å.
Neutral-atom scattering factors, no anomalous dispersion.

Principal peaks in the range 10 to 80 degrees two-theta, sorted by position:
- 2θ 13.80, d 6.419, intensity 49, hkl 0 0 3
- 2θ 27.80, d 3.209, intensity 35, hkl 0 0 6
- 2θ 31.90, d 2.805, intensity 37, hkl 1 0 1
- 2θ 32.93, d 2.720, intensity 100, hkl 0 1 2
- 2θ 36.78, d 2.443, intensity 57, hkl 1 0 4
- 2θ 49.68, d 1.835, intensity 29, hkl 0 1 8
- 2θ 56.18, d 1.637, intensity 27, hkl 1 1 0
- 2θ 63.82, d 1.458, intensity 21, hkl 1 1 6

Structural model:
abc: 3.2744 3.2744 19.2564
angles: 90.00 90.00 120.00
Space group R3m (No. 160, hexagonal axes)
Asymmetric unit:
Li (0.0000, 0.0000, 0.0000) x3
Cu (0.0000, 0.0000, 0.7585) x3
Au (0.0000, 0.0000, 0.2345) x3
O (0.0000, 0.0000, 0.1270) x3
O (0.0000, 0.0000, 0.3437) x3